For Li3Co4O8, the PBE+U geometry in the Materials Project gives the computed powder diffraction line list in this record (Cu Kα, 1.54184 Å).
Neutral-atom scattering factors, no anomalous dispersion.

Main lines, sorted by position (5° ≤ 2θ ≤ 70°):
(hkl)  two_theta  I (rel.)
0 0 1  18.6  100
0 1 -1  19.0  43
1 0 -1  21.7  34
1 -1 1  22.4  41
0 2 -1  36.4  42
2 0 0  38.5  31
0 2 -2  38.6  22
0 2 0  43.6  66
2 0 -2  44.3  46
2 -2 2  45.6  60

Crystal structure
```
data_Li3Co4O8
_space_group_name_H-M_alt 'P 1'
_space_group_IT_number 1
_space_group_name_Hall 'P 1'
_cell_length_a 5.6682
_cell_length_b 5.6987
_cell_length_c 5.7402
_cell_angle_alpha 118.04
_cell_angle_beta 91.59
_cell_angle_gamma 118.96
loop_
_atom_site_label
_atom_site_type_symbol
_atom_site_fract_x
_atom_site_fract_y
_atom_site_fract_z
Li1 Li 0.0000 0.0000 0.0000
Li2 Li 0.0059 0.5013 0.9942
Li3 Li 0.5040 0.4989 0.4951
Co1 Co 0.0050 0.4994 0.4939
Co2 Co 0.0053 0.9994 0.4939
Co3 Co 0.5056 0.9995 0.4938
Co4 Co 0.5081 0.5023 0.9933
O1 O 0.1982 0.4579 0.2775
O2 O 0.2245 0.9896 0.2747
O3 O 0.3023 0.0162 0.7133
O4 O 0.3315 0.5666 0.7085
O5 O 0.6791 0.4323 0.2794
O6 O 0.7103 0.9836 0.2731
O7 O 0.7867 0.0101 0.7128
O8 O 0.8126 0.5411 0.7102
```